Diffraction record for Ti3Ag3S8. The powder X-ray diffraction pattern is theoretical, not measured: it uses a DFT-relaxed cell (PBE, Alexandria) and Cu Kα (weighted mean of Kα1 and Kα2).

Structure:
a = 7.1981 Å, b = 7.1981 Å, c = 19.0537 Å
α = 90.00°, β = 90.00°, γ = 120.00°
Space group R-3m (No. 166, hexagonal axes)
One atom of each set of equivalent atoms:
Ti 0.0000 0.5000 0.0000
Ag 0.0000 0.0000 0.1294
Ag 0.0000 0.0000 0.5000
S 0.0000 0.0000 0.2608
S 0.0249 0.5125 0.2619

Main lines, sorted by position (10° ≤ 2θ ≤ 90°):
hkl 1 0 4, 2θ 23.50, rel. 20
hkl 1 1 0, 2θ 24.74, rel. 55
hkl 0 1 5, 2θ 27.43, rel. 37
hkl 1 1 3, 2θ 28.51, rel. 100
hkl 0 2 4, 2θ 34.38, rel. 21
hkl 0 1 8, 2θ 40.55, rel. 15
hkl 0 2 7, 2θ 44.17, rel. 15
hkl 1 2 5, 2θ 45.25, rel. 27
hkl 0 3 3, 2θ 45.95, rel. 27
hkl 2 0 8, 2θ 48.08, rel. 47
hkl 2 2 0, 2θ 50.73, rel. 44
hkl 4 1 3, 2θ 70.84, rel. 14

=====

Diffraction record for TiAg5S5. The powder X-ray diffraction pattern is theoretical, not measured: it uses a DFT-relaxed cell (PBE, Alexandria) and Cu Kα (weighted mean of Kα1 and Kα2).

Structure:
a = 13.820 Å, b = 4.608 Å, c = 7.337 Å
α = 90.00°, β = 104.43°, γ = 90.00°
Space group C2/m (No. 12)
One atom of each set of equivalent atoms:
Ti 0.000 0.000 0.000
Ag 0.000 0.000 0.500
Ag 0.175 0.500 0.442
Ag 0.210 0.500 0.863
S 0.000 0.500 0.000
S 0.129 0.000 0.313
S 0.133 0.000 0.818

Main lines, sorted by position (10° ≤ 2θ ≤ 90°):
hkl 2 0 0, 2θ 13.23, rel. 36
hkl 3 1 0, 2θ 27.84, rel. 100
hkl 3 1 -1, 2θ 28.43, rel. 60
hkl 1 1 -2, 2θ 31.17, rel. 36
hkl 2 0 2, 2θ 31.31, rel. 49
hkl 4 0 -2, 2θ 31.84, rel. 70
hkl 1 1 2, 2θ 33.83, rel. 30
hkl 0 2 0, 2θ 39.10, rel. 75
hkl 3 1 2, 2θ 41.17, rel. 76
hkl 3 1 -3, 2θ 43.24, rel. 28
hkl 4 2 -2, 2θ 51.28, rel. 34
hkl 7 1 -3, 2θ 57.49, rel. 29

=====

Diffraction record for TiAg3S4. The powder X-ray diffraction pattern is theoretical, not measured: it uses a DFT-relaxed cell (PBE, Alexandria) and Cu Kα (weighted mean of Kα1 and Kα2).

Structure:
a = 6.067 Å, b = 6.067 Å, c = 6.067 Å
α = 90.00°, β = 90.00°, γ = 90.00°
Space group P-43m (No. 215)
One atom of each set of equivalent atoms:
Ti 0.000 0.000 0.000
Ag 0.000 0.000 0.500
S 0.219 0.219 0.219

Main lines, sorted by position (10° ≤ 2θ ≤ 90°):
hkl 1 0 0, 2θ 14.60, rel. 100
hkl 1 1 1, 2θ 25.43, rel. 100
hkl 2 0 0, 2θ 29.45, rel. 35
hkl 2 1 0, 2θ 33.02, rel. 28
hkl 2 2 0, 2θ 42.13, rel. 92
hkl 2 2 1, 2θ 44.82, rel. 22
hkl 3 1 1, 2θ 49.85, rel. 44
hkl 3 2 0, 2θ 54.54, rel. 17
hkl 4 0 0, 2θ 61.10, rel. 13
hkl 3 3 1, 2θ 67.27, rel. 16
hkl 4 2 0, 2θ 69.26, rel. 14
hkl 4 2 2, 2θ 77.00, rel. 25